# 1
The following is a computed powder diffractogram of Tb2Si3Pd9. It was derived from DFT lattice parameters and positions (PBE), using CuKα.
Kinematic intensities with the Lorentz-polarization factor, no thermal factor.

Peak list (10 most intense, 2θ from 5° to 70°, sorted by position)
- 23.19 deg, intensity 13
- 35.93 deg, intensity 13
- 36.33 deg, intensity 13
- 38.03 deg, intensity 58
- 38.15 deg, intensity 100
- 39.68 deg, intensity 13
- 40.09 deg, intensity 15
- 40.67 deg, intensity 33
- 40.88 deg, intensity 64
- 42.98 deg, intensity 14

Crystal structure
a b c (Å): 7.6728 7.6728 10.0174
angles (deg): 112.43 112.43 59.68
Positions (direct):
1 Tb 0.0860 0.2568 0.2491
2 Tb 0.2568 0.0860 0.7491
3 Tb 0.7432 0.9140 0.2509
4 Tb 0.9140 0.7432 0.7509
5 Si 0.0000 0.5000 0.0000
6 Si 0.1537 0.6740 0.4996
7 Si 0.3260 0.8463 0.0004
8 Si 0.5000 0.0000 0.5000
9 Si 0.6740 0.1537 0.9996
10 Si 0.8463 0.3260 0.5004
11 Pd 0.0123 0.8718 0.0779
12 Pd 0.1282 0.9877 0.4221
13 Pd 0.1822 0.3595 0.5726
14 Pd 0.2050 0.5787 0.2528
15 Pd 0.3077 0.4892 0.9541
16 Pd 0.3595 0.1822 0.0726
17 Pd 0.3611 0.6389 0.7500
18 Pd 0.4213 0.7950 0.2472
19 Pd 0.4892 0.3077 0.4541
20 Pd 0.5108 0.6923 0.5459
21 Pd 0.5787 0.2050 0.7528
22 Pd 0.6389 0.3611 0.2500
23 Pd 0.6405 0.8178 0.9274
24 Pd 0.6923 0.5108 0.0459
25 Pd 0.7950 0.4213 0.7472
26 Pd 0.8178 0.6405 0.4274
27 Pd 0.8718 0.0123 0.5779
28 Pd 0.9877 0.1282 0.9221

***

# 2
The following is a computed powder diffractogram of ErU2Ru3. It was derived from DFT lattice parameters and positions (PBE), using CuKα.
Kinematic intensities with the Lorentz-polarization factor, no thermal factor.

Peak list (10 most intense, 2θ from 5° to 70°, sorted by position)
- 26.63 deg, intensity 24
- 31.81 deg, intensity 20
- 34.06 deg, intensity 100
- 35.43 deg, intensity 89
- 35.63 deg, intensity 96
- 36.85 deg, intensity 72
- 41.18 deg, intensity 52
- 44.69 deg, intensity 38
- 50.12 deg, intensity 26
- 53.92 deg, intensity 20

Crystal structure
a b c (Å): 5.7962 5.9982 8.0286
angles (deg): 76.50 75.30 62.35
Positions (direct):
1 Er 0.0937 0.2867 0.2377
2 Er 0.9063 0.7133 0.7623
3 U 0.2337 0.7514 0.0948
4 U 0.4954 0.2772 0.5608
5 U 0.5046 0.7228 0.4392
6 U 0.7663 0.2486 0.9052
7 Ru 0.0097 0.7740 0.3872
8 Ru 0.3455 0.1970 0.8637
9 Ru 0.3686 0.7607 0.7766
10 Ru 0.6314 0.2393 0.2234
11 Ru 0.6545 0.8030 0.1363
12 Ru 0.9903 0.2260 0.6128

***

# 3
The following is a computed powder diffractogram of Tb3Pr8Dy2. It was derived from DFT lattice parameters and positions (PBE), using CuKα.
Kinematic intensities with the Lorentz-polarization factor, no thermal factor.

Peak list (10 most intense, 2θ from 5° to 70°, sorted by position)
- 24.53 deg, intensity 24
- 28.99 deg, intensity 41
- 30.28 deg, intensity 35
- 30.83 deg, intensity 45
- 32.78 deg, intensity 100
- 34.93 deg, intensity 22
- 39.79 deg, intensity 14
- 47.27 deg, intensity 19
- 56.07 deg, intensity 22
- 63.03 deg, intensity 12

Crystal structure
a b c (Å): 10.9918 10.9918 5.8005
angles (deg): 90.02 90.02 41.33
Positions (direct):
1 Tb 0.0000 0.0000 0.0000
2 Tb 0.2849 0.7151 0.5000
3 Tb 0.7151 0.2849 0.5000
4 Pr 0.1318 0.1318 0.4994
5 Pr 0.1888 0.5995 0.0001
6 Pr 0.3260 0.3260 0.4995
7 Pr 0.4005 0.8112 0.9999
8 Pr 0.5995 0.1888 0.0001
9 Pr 0.6740 0.6740 0.5005
10 Pr 0.8112 0.4005 0.9999
11 Pr 0.8682 0.8682 0.5006
12 Dy 0.2401 0.2401 0.9992
13 Dy 0.7599 0.7599 0.0008

***

# 4
The following is a computed powder diffractogram of BeTlAgTe2. It was derived from DFT lattice parameters and positions (PBE), using CuKα.
Kinematic intensities with the Lorentz-polarization factor, no thermal factor.

Peak list (10 most intense, 2θ from 5° to 70°, sorted by position)
- 20.35 deg, intensity 28
- 24.44 deg, intensity 36
- 24.57 deg, intensity 100
- 29.38 deg, intensity 87
- 30.16 deg, intensity 38
- 32.81 deg, intensity 33
- 36.61 deg, intensity 35
- 39.80 deg, intensity 54
- 41.80 deg, intensity 31
- 54.57 deg, intensity 26

Crystal structure
a b c (Å): 7.7663 5.3691 7.6271
angles (deg): 90.00 100.73 90.00
Positions (direct):
1 Be 0.0000 0.0000 0.0000
2 Be 0.0000 0.0000 0.5000
3 Tl 0.5000 0.2067 0.2500
4 Tl 0.5000 0.7933 0.7500
5 Ag 0.0000 0.3990 0.2500
6 Ag 0.0000 0.6010 0.7500
7 Te 0.2282 0.2645 0.5704
8 Te 0.2282 0.7355 0.0704
9 Te 0.7718 0.2645 0.9296
10 Te 0.7718 0.7355 0.4296

***

# 5
The following is a computed powder diffractogram of KCe2NdTe4. It was derived from DFT lattice parameters and positions (PBE), using CuKα.
Kinematic intensities with the Lorentz-polarization factor, no thermal factor.

Peak list (10 most intense, 2θ from 5° to 70°, sorted by position)
- 11.71 deg, intensity 8
- 27.48 deg, intensity 100
- 38.73 deg, intensity 13
- 39.25 deg, intensity 51
- 39.76 deg, intensity 12
- 48.14 deg, intensity 14
- 49.02 deg, intensity 13
- 56.72 deg, intensity 13
- 63.42 deg, intensity 6
- 64.16 deg, intensity 23

Crystal structure
a b c (Å): 7.9821 4.5337 7.9875
angles (deg): 90.00 108.77 90.00
Positions (direct):
1 K 0.0000 0.0000 0.0000
2 Ce 0.0000 0.5000 0.5000
3 Ce 0.5000 0.0000 0.5000
4 Nd 0.5000 0.5000 0.0000
5 Te 0.2550 0.0000 0.7463
6 Te 0.2628 0.5000 0.2616
7 Te 0.7372 0.5000 0.7384
8 Te 0.7450 0.0000 0.2537